No. 1
For Pm7NdTm2, a DFT-relaxed cell (GGA-PBE, Alexandria) gives the calculated powder XRD pattern in this record (Cu Ka).

The 6 most intense peaks (2θ = 15–90°), sorted by position:
| 2θ/deg | d [Å] | I (rel.) |
| --- | --- | --- |
| 15.42 | 5.747 | 62 |
| 29.95 | 2.983 | 70 |
| 31.12 | 2.874 | 66 |
| 33.53 | 2.673 | 100 |
| 34.41 | 2.607 | 74 |
| 43.74 | 2.070 | 55 |

Atomic structure:
a b c (Å): 9.1785 9.1785 5.7474
angles (deg): 90.00 90.00 121.80
Atoms (fractional coordinates):
Pm 0.0000 0.0000 0.0000
Pm 0.2039 0.4374 0.0000
Pm 0.2714 0.7286 0.5000
Pm 0.4374 0.2039 0.0000
Pm 0.5626 0.7961 0.0000
Pm 0.7286 0.2714 0.5000
Pm 0.7961 0.5626 0.0000
Nd 0.5000 0.5000 0.5000
Tm 0.2043 0.7957 0.0000
Tm 0.7957 0.2043 0.0000

---

No. 2
For Pm7Nd3Tm, a DFT-relaxed cell (GGA-PBE, Alexandria) gives the calculated powder XRD pattern in this record (Cu Ka).

The 6 most intense peaks (2θ = 15–90°), sorted by position:
| 2θ/deg | d [Å] | I (rel.) |
| --- | --- | --- |
| 28.57 | 3.124 | 44 |
| 30.86 | 2.897 | 73 |
| 31.48 | 2.842 | 46 |
| 31.61 | 2.830 | 100 |
| 33.12 | 2.705 | 85 |
| 33.51 | 2.674 | 38 |

Atomic structure:
a b c (Å): 10.2674 10.2674 12.5545
angles (deg): 113.37 113.37 41.58
Atoms (fractional coordinates):
Pm 0.0791 0.5835 0.9668
Pm 0.0839 0.5796 0.4690
Pm 0.2443 0.7557 0.7500
Pm 0.3351 0.3370 0.7228
Pm 0.3370 0.3351 0.2228
Pm 0.4165 0.9209 0.5332
Pm 0.4204 0.9161 0.0310
Pm 0.5796 0.0839 0.9690
Pm 0.5835 0.0791 0.4668
Pm 0.6630 0.6649 0.7772
Pm 0.6649 0.6630 0.2772
Pm 0.7557 0.2443 0.2500
Pm 0.9161 0.4204 0.5310
Pm 0.9209 0.4165 0.0332
Nd 0.1551 0.1688 0.7759
Nd 0.1688 0.1551 0.2759
Nd 0.5000 0.5000 0.0000
Nd 0.5000 0.5000 0.5000
Nd 0.8312 0.8449 0.7241
Nd 0.8449 0.8312 0.2241
Tm 0.0000 0.0000 0.0000
Tm 0.0000 0.0000 0.5000

---

No. 3
For PmNd14Tm, a DFT-relaxed cell (GGA-PBE, Alexandria) gives the calculated powder XRD pattern in this record (Cu Ka).

The 6 most intense peaks (2θ = 15–90°), sorted by position:
| 2θ/deg | d [Å] | I (rel.) |
| --- | --- | --- |
| 29.85 | 2.994 | 100 |
| 34.60 | 2.592 | 51 |
| 49.74 | 1.833 | 36 |
| 59.09 | 1.563 | 43 |
| 80.80 | 1.189 | 18 |
| 83.36 | 1.159 | 16 |

Atomic structure:
a b c (Å): 7.3326 7.3326 10.3697
angles (deg): 90.00 90.00 90.00
Atoms (fractional coordinates):
Pm 0.0000 0.0000 0.0000
Nd 0.0000 0.0000 0.5000
Nd 0.0000 0.5000 0.0000
Nd 0.0000 0.5000 0.5000
Nd 0.2512 0.2512 0.2482
Nd 0.2512 0.2512 0.7518
Nd 0.2512 0.7488 0.2482
Nd 0.2512 0.7488 0.7518
Nd 0.5000 0.0000 0.0000
Nd 0.5000 0.0000 0.5000
Nd 0.5000 0.5000 0.5000
Nd 0.7488 0.2512 0.2482
Nd 0.7488 0.2512 0.7518
Nd 0.7488 0.7488 0.2482
Nd 0.7488 0.7488 0.7518
Tm 0.5000 0.5000 0.0000

---

No. 4
For Pm3Nd5Tm2, a DFT-relaxed cell (GGA-PBE, Alexandria) gives the calculated powder XRD pattern in this record (Cu Ka).

The 6 most intense peaks (2θ = 15–90°), sorted by position:
| 2θ/deg | d [Å] | I (rel.) |
| --- | --- | --- |
| 29.27 | 3.052 | 96 |
| 30.90 | 2.894 | 100 |
| 33.06 | 2.709 | 46 |
| 48.66 | 1.871 | 32 |
| 60.10 | 1.540 | 34 |
| 62.44 | 1.487 | 26 |

Atomic structure:
a b c (Å): 9.2376 9.2376 10.0732
angles (deg): 108.39 108.39 108.17
Atoms (fractional coordinates):
Pm 0.0275 0.2776 0.0565
Pm 0.2293 0.7707 0.7500
Pm 0.2776 0.0275 0.5565
Pm 0.7224 0.9725 0.4435
Pm 0.7707 0.2293 0.2500
Pm 0.9725 0.7224 0.9435
Nd 0.0221 0.9779 0.7500
Nd 0.1276 0.3788 0.7516
Nd 0.2722 0.7278 0.2500
Nd 0.3788 0.1276 0.2516
Nd 0.4794 0.5206 0.2500
Nd 0.5206 0.4794 0.7500
Nd 0.6212 0.8724 0.7484
Nd 0.7278 0.2722 0.7500
Nd 0.8724 0.6212 0.2484
Nd 0.9779 0.0221 0.2500
Tm 0.2201 0.4716 0.4434
Tm 0.4716 0.2201 0.9434
Tm 0.5284 0.7799 0.0566
Tm 0.7799 0.5284 0.5566

---

No. 5
For Pm2Nd5Tm, a DFT-relaxed cell (GGA-PBE, Alexandria) gives the calculated powder XRD pattern in this record (Cu Ka).

The 6 most intense peaks (2θ = 15–90°), sorted by position:
| 2θ/deg | d [Å] | I (rel.) |
| --- | --- | --- |
| 30.00 | 2.979 | 100 |
| 34.78 | 2.580 | 51 |
| 50.02 | 1.823 | 30 |
| 59.39 | 1.556 | 29 |
| 59.48 | 1.554 | 14 |
| 81.32 | 1.183 | 15 |

Atomic structure:
a b c (Å): 7.2911 14.6222 5.1523
angles (deg): 90.00 90.00 90.00
Atoms (fractional coordinates):
Pm 0.2494 0.1237 0.0000
Pm 0.2506 0.6237 0.0000
Pm 0.7494 0.3763 0.0000
Pm 0.7506 0.8763 0.0000
Nd 0.0001 0.2483 0.5000
Nd 0.0000 0.5000 0.5000
Nd 0.9999 0.7517 0.5000
Nd 0.2490 0.8760 0.0000
Nd 0.2510 0.3760 0.0000
Nd 0.5000 0.0000 0.5000
Nd 0.5001 0.2517 0.5000
Nd 0.4999 0.7483 0.5000
Nd 0.7490 0.6240 0.0000
Nd 0.7510 0.1240 0.0000
Tm 0.0000 0.0000 0.5000
Tm 0.5000 0.5000 0.5000

---

No. 6
For Pm3Nd2Tm7, a DFT-relaxed cell (GGA-PBE, Alexandria) gives the calculated powder XRD pattern in this record (Cu Ka).

The 6 most intense peaks (2θ = 15–90°), sorted by position:
| 2θ/deg | d [Å] | I (rel.) |
| --- | --- | --- |
| 30.68 | 2.914 | 29 |
| 31.04 | 2.881 | 33 |
| 31.22 | 2.864 | 100 |
| 31.77 | 2.816 | 35 |
| 33.36 | 2.686 | 33 |
| 34.72 | 2.584 | 29 |

Atomic structure:
a b c (Å): 5.7892 3.5689 18.7852
angles (deg): 90.00 93.20 90.00
Atoms (fractional coordinates):
Pm 0.0000 0.0000 0.0000
Pm 0.2767 0.5000 0.6304
Pm 0.7233 0.5000 0.3696
Nd 0.2090 0.0000 0.2912
Nd 0.7910 0.0000 0.7088
Tm 0.1889 0.5000 0.1413
Tm 0.2423 0.0000 0.4613
Tm 0.3090 0.0000 0.8288
Tm 0.5000 0.5000 0.0000
Tm 0.6910 0.0000 0.1712
Tm 0.7577 0.0000 0.5387
Tm 0.8111 0.5000 0.8587

---

Which formula does entry 4 have?
Pm3Nd5Tm2